1.
Simulated X-ray powder pattern of TbPmAlSi for copper Kα, from a structure optimized by DFT (PBE).
Intensities are scaled so that the largest is 100.

Cell and atoms:
a = 4.031 Å, b = 4.399 Å, c = 11.067 Å
α = 90.00°, β = 90.00°, γ = 90.00°
Space group Amm2 (No. 38)
One atom of each set of equivalent atoms:
Tb1 0.000 0.000 0.000
Pm1 0.500 0.000 0.283
Al1 0.000 0.000 0.708
Si1 0.500 0.000 0.566

Principal peaks in the range 5 to 70 degrees two-theta, by angle:
- 21.7 deg, 4.088 Å, I = 35, hkl 0 1 1
- 27.4 deg, 3.258 Å, I = 66, hkl 1 0 2
- 31.2 deg, 2.870 Å, I = 100, hkl 1 1 1
- 31.7 deg, 2.827 Å, I = 57, hkl 0 1 3
- 32.4 deg, 2.767 Å, I = 28, hkl 0 0 4
- 38.9 deg, 2.314 Å, I = 30, hkl 1 1 3
- 41.0 deg, 2.199 Å, I = 22, hkl 0 2 0
- 45.0 deg, 2.015 Å, I = 17, hkl 2 0 0
- 50.0 deg, 1.823 Å, I = 26, hkl 1 2 2
- 51.5 deg, 1.775 Å, I = 23, hkl 1 1 5
- 56.0 deg, 1.641 Å, I = 22, hkl 2 1 3
- 62.5 deg, 1.487 Å, I = 26, hkl 2 2 0

***

2.
Simulated X-ray powder pattern of PPd for copper Kα, from a structure optimized by DFT (PBE).
Intensities are scaled so that the largest is 100.

Cell and atoms:
a = 3.003 Å, b = 3.003 Å, c = 7.378 Å
α = 90.00°, β = 90.00°, γ = 90.00°
Space group I-4m2 (No. 119)
One atom of each set of equivalent atoms:
P1 0.000 0.000 0.000
Pd1 0.000 0.500 0.250

Principal peaks in the range 5 to 70 degrees two-theta, by angle:
- 24.1 deg, 3.689 Å, I = 24, hkl 0 0 2
- 32.2 deg, 2.781 Å, I = 100, hkl 1 0 1
- 42.6 deg, 2.123 Å, I = 11, hkl 1 1 0
- 47.8 deg, 1.903 Å, I = 32, hkl 1 0 3
- 49.4 deg, 1.845 Å, I = 11, hkl 0 0 4
- 49.5 deg, 1.840 Å, I = 44, hkl 1 1 2
- 61.8 deg, 1.501 Å, I = 11, hkl 2 0 0
- 67.2 deg, 1.392 Å, I = 6, hkl 1 1 4
- 67.3 deg, 1.391 Å, I = 6, hkl 2 0 2

***

Which formula does entry 1 have? TbPmAlSi